[1]
Theoretical powder XRD pattern of Al2ZnCd for Cu Ka, from a DFT-relaxed cell (PBE, Alexandria).

Atomic structure:
abc: 9.342 9.342 9.342
angles: 18.49 18.49 18.49
Positions (direct):
Al 0.000 0.000 0.000
Al 0.252 0.252 0.252
Zn 0.742 0.742 0.742
Cd 0.496 0.496 0.496

Largest 10 diffraction maxima, in order of rising 2θ, 2θ = 15–90°:
two_theta, d_spacing, I_rel
29.18, 3.060, 16
34.65, 2.589, 21
36.95, 2.432, 100
38.28, 2.351, 19
39.26, 2.295, 27
43.62, 2.075, 60
61.80, 1.501, 21
64.98, 1.435, 16
75.71, 1.256, 21
78.65, 1.217, 19

***

[2]
Theoretical powder XRD pattern of Al2ZnCd2 for Cu Ka, from a DFT-relaxed cell (PBE, Alexandria).

Atomic structure:
abc: 7.837 7.837 3.414
angles: 90.00 90.00 90.00
Positions (direct):
Al 0.119 0.381 0.000
Al 0.381 0.881 0.000
Al 0.619 0.119 0.000
Al 0.881 0.619 0.000
Zn 0.000 0.000 0.000
Zn 0.500 0.500 0.000
Cd 0.184 0.684 0.500
Cd 0.316 0.184 0.500
Cd 0.684 0.816 0.500
Cd 0.816 0.316 0.500

Largest 10 diffraction maxima, in order of rising 2θ, 2θ = 15–90°:
two_theta, d_spacing, I_rel
25.41, 3.505, 50
32.31, 2.771, 30
34.86, 2.574, 83
36.25, 2.478, 48
36.75, 2.445, 100
47.86, 1.901, 29
55.32, 1.661, 33
56.66, 1.625, 24
66.52, 1.406, 15
66.74, 1.401, 15

***

[3]
Theoretical powder XRD pattern of Zr2Al2Cd for Cu Ka, from a DFT-relaxed cell (PBE, Alexandria).

Atomic structure:
abc: 7.004 7.004 4.075
angles: 90.00 90.00 90.00
Positions (direct):
Zr 0.171 0.329 0.000
Zr 0.329 0.829 0.000
Zr 0.671 0.171 0.000
Zr 0.829 0.671 0.000
Al 0.127 0.627 0.500
Al 0.373 0.127 0.500
Al 0.627 0.873 0.500
Al 0.873 0.373 0.500
Cd 0.000 0.000 0.500
Cd 0.500 0.500 0.500

Largest 10 diffraction maxima, in order of rising 2θ, 2θ = 15–90°:
two_theta, d_spacing, I_rel
28.36, 3.147, 53
28.50, 3.132, 30
33.75, 2.656, 91
36.17, 2.483, 100
36.28, 2.476, 23
40.74, 2.215, 61
44.47, 2.037, 28
58.93, 1.567, 27
60.51, 1.530, 25
61.88, 1.499, 34

***

[4]
Theoretical powder XRD pattern of ZrAl2Cd for Cu Ka, from a DFT-relaxed cell (PBE, Alexandria).

Atomic structure:
abc: 5.454 5.454 5.454
angles: 136.23 136.23 63.63
Positions (direct):
Zr 0.000 0.000 0.000
Al 0.500 0.500 0.000
Al 0.750 0.250 0.500
Cd 0.250 0.750 0.500

Largest 10 diffraction maxima, in order of rising 2θ, 2θ = 15–90°:
two_theta, d_spacing, I_rel
23.90, 3.724, 54
36.52, 2.460, 18
36.78, 2.443, 100
38.86, 2.317, 21
44.56, 2.033, 29
51.19, 1.785, 13
60.58, 1.528, 22
69.01, 1.361, 15
76.95, 1.239, 22
78.25, 1.222, 10

***

[5]
Theoretical powder XRD pattern of CeAl4 for Cu Ka, from a DFT-relaxed cell (PBE, Alexandria).

Atomic structure:
abc: 7.964 7.964 7.964
angles: 147.91 132.17 58.77
Positions (direct):
Ce 0.366 0.116 0.250
Ce 0.634 0.884 0.750
Al 0.000 0.500 0.500
Al 0.140 0.890 0.250
Al 0.159 0.697 0.462
Al 0.265 0.303 0.962
Al 0.500 0.500 0.000
Al 0.735 0.697 0.038
Al 0.841 0.303 0.538
Al 0.860 0.110 0.750

Largest 10 diffraction maxima, in order of rising 2θ, 2θ = 15–90°:
two_theta, d_spacing, I_rel
15.14, 5.854, 48
21.17, 4.197, 37
23.66, 3.760, 43
27.68, 3.222, 100
35.07, 2.559, 93
38.08, 2.363, 52
38.34, 2.348, 67
41.00, 2.201, 33
57.19, 1.611, 32
70.85, 1.330, 29

***

[6]
Theoretical powder XRD pattern of Ce2Al8Co for Cu Ka, from a DFT-relaxed cell (PBE, Alexandria).

Atomic structure:
abc: 4.276 4.276 11.270
angles: 90.00 90.00 90.00
Positions (direct):
Ce 0.000 0.000 0.195
Ce 0.000 0.000 0.805
Al 0.000 0.500 0.000
Al 0.000 0.500 0.385
Al 0.000 0.500 0.615
Al 0.500 0.000 0.000
Al 0.500 0.000 0.385
Al 0.500 0.000 0.615
Al 0.500 0.500 0.196
Al 0.500 0.500 0.804
Co 0.000 0.000 0.500

Largest 10 diffraction maxima, in order of rising 2θ, 2θ = 15–90°:
two_theta, d_spacing, I_rel
20.77, 4.276, 87
23.68, 3.757, 21
29.54, 3.024, 24
31.71, 2.822, 50
33.64, 2.664, 43
38.21, 2.355, 100
42.27, 2.138, 51
53.79, 1.704, 22
59.60, 1.551, 21
74.59, 1.272, 26

***

[7]
Theoretical powder XRD pattern of Ce3Al4Co3 for Cu Ka, from a DFT-relaxed cell (PBE, Alexandria).

Atomic structure:
abc: 24.257 4.216 6.980
angles: 90.00 90.00 90.00
Positions (direct):
Ce 0.038 0.250 0.144
Ce 0.133 0.250 0.523
Ce 0.171 0.250 0.032
Ce 0.329 0.750 0.532
Ce 0.367 0.750 0.023
Ce 0.462 0.750 0.644
Ce 0.538 0.250 0.356
Ce 0.633 0.250 0.977
Ce 0.671 0.250 0.468
Ce 0.829 0.750 0.968
Ce 0.867 0.750 0.477
Ce 0.962 0.750 0.856
Al 0.037 0.750 0.485
Al 0.092 0.750 0.849
Al 0.214 0.750 0.328
Al 0.215 0.750 0.729
Al 0.285 0.250 0.229
Al 0.286 0.250 0.828
Al 0.408 0.250 0.349
Al 0.463 0.250 0.985
Al 0.537 0.750 0.015
Al 0.592 0.750 0.651
Al 0.714 0.750 0.172
Al 0.715 0.750 0.771
Al 0.785 0.250 0.271
Al 0.786 0.250 0.672
Al 0.908 0.250 0.151
Al 0.963 0.250 0.515
Co 0.054 0.250 0.701
Co 0.110 0.750 0.217
Co 0.229 0.250 0.529
Co 0.271 0.750 0.029
Co 0.390 0.250 0.717
Co 0.446 0.750 0.201
Co 0.554 0.250 0.799
Co 0.610 0.750 0.283
Co 0.729 0.250 0.971
Co 0.771 0.750 0.471
Co 0.890 0.250 0.783
Co 0.946 0.750 0.299

Largest 10 diffraction maxima, in order of rising 2θ, 2θ = 15–90°:
two_theta, d_spacing, I_rel
22.32, 3.982, 82
26.58, 3.354, 20
33.54, 2.672, 44
34.16, 2.625, 60
35.71, 2.514, 20
35.93, 2.499, 82
36.54, 2.459, 100
40.29, 2.238, 17
42.90, 2.108, 52
74.42, 1.275, 18

***

[8]
Theoretical powder XRD pattern of Ce4AlCo2 for Cu Ka, from a DFT-relaxed cell (PBE, Alexandria).

Atomic structure:
abc: 6.356 6.484 8.339
angles: 108.41 106.30 100.82
Positions (direct):
Ce 0.000 0.000 0.000
Ce 0.032 0.357 0.477
Ce 0.105 0.841 0.375
Ce 0.297 0.334 0.811
Ce 0.381 0.894 0.753
Ce 0.522 0.680 0.246
Ce 0.712 0.537 0.627
Ce 0.874 0.422 0.018
Al 0.526 0.153 0.185
Al 0.771 0.055 0.629
Co 0.207 0.713 0.949
Co 0.281 0.423 0.310
Co 0.421 0.148 0.457
Co 0.682 0.829 0.060

Largest 10 diffraction maxima, in order of rising 2θ, 2θ = 15–90°:
two_theta, d_spacing, I_rel
28.61, 3.120, 35
30.22, 2.958, 29
30.67, 2.915, 25
33.19, 2.699, 100
33.61, 2.667, 22
34.24, 2.619, 27
34.50, 2.600, 68
35.04, 2.561, 25
38.16, 2.358, 54
38.36, 2.346, 27